# Tb2TlHg9
Simulated powder XRD pattern, copper Kα. Input: a structure optimized by DFT (PBE).
Neutral-atom scattering factors, no anomalous dispersion.

Peak list (10 most intense, 10 to 90 degrees two-theta, by angle)
2θ = 30.21°, rel. 3; 2θ = 33.18°, rel. 100; 2θ = 36.42°, rel. 17; 2θ = 39.50°, rel. 33; 2θ = 54.81°, rel. 22; 2θ = 57.09°, rel. 11; 2θ = 63.50°, rel. 12; 2θ = 67.65°, rel. 26; 2θ = 69.64°, rel. 11; 2θ = 85.04°, rel. 4

Unit cell a=4.563 b=4.563 c=14.800 alpha=90.00 beta=90.00 gamma=90.00
Atoms (fractional coordinates):
1 Tb 0.000 0.000 0.166
2 Tb 0.000 0.000 0.834
3 Tl 0.000 0.000 0.500
4 Hg 0.000 0.500 0.000
5 Hg 0.000 0.500 0.320
6 Hg 0.000 0.500 0.680
7 Hg 0.500 0.000 0.000
8 Hg 0.500 0.000 0.320
9 Hg 0.500 0.000 0.680
10 Hg 0.500 0.500 0.151
11 Hg 0.500 0.500 0.500
12 Hg 0.500 0.500 0.849


# Tb2TlHg5
Simulated powder XRD pattern, copper Kα. Input: a structure optimized by DFT (PBE).
Neutral-atom scattering factors, no anomalous dispersion.

Peak list (10 most intense, 10 to 90 degrees two-theta, by angle)
2θ = 33.44°, rel. 100; 2θ = 33.55°, rel. 99; 2θ = 37.82°, rel. 72; 2θ = 40.92°, rel. 29; 2θ = 54.40°, rel. 13; 2θ = 54.70°, rel. 12; 2θ = 56.94°, rel. 45; 2θ = 65.45°, rel. 29; 2θ = 65.65°, rel. 29; 2θ = 69.78°, rel. 12

Unit cell a=6.712 b=13.493 c=4.411 alpha=90.00 beta=90.00 gamma=90.00
Atoms (fractional coordinates):
1 Tb 0.244 0.126 0.000
2 Tb 0.256 0.626 0.000
3 Tb 0.744 0.374 0.000
4 Tb 0.756 0.874 0.000
5 Tl 0.000 0.500 0.500
6 Tl 0.500 0.000 0.500
7 Hg 0.000 0.000 0.500
8 Hg 0.004 0.750 0.500
9 Hg 0.247 0.872 0.000
10 Hg 0.253 0.372 0.000
11 Hg 0.496 0.250 0.500
12 Hg 0.500 0.500 0.500
13 Hg 0.504 0.750 0.500
14 Hg 0.747 0.628 0.000
15 Hg 0.753 0.128 0.000
16 Hg 0.996 0.250 0.500


# Tb3Tl2Hg
Simulated powder XRD pattern, copper Kα. Input: a structure optimized by DFT (PBE).
Neutral-atom scattering factors, no anomalous dispersion.

Peak list (10 most intense, 10 to 90 degrees two-theta, by angle)
2θ = 33.26°, rel. 100; 2θ = 33.85°, rel. 48; 2θ = 46.85°, rel. 9; 2θ = 48.63°, rel. 18; 2θ = 59.04°, rel. 19; 2θ = 60.19°, rel. 37; 2θ = 69.83°, rel. 11; 2θ = 78.23°, rel. 8; 2θ = 80.90°, rel. 8; 2θ = 81.23°, rel. 8

Unit cell a=3.745 b=3.745 c=11.635 alpha=90.00 beta=90.00 gamma=90.00
Atoms (fractional coordinates):
1 Tb 0.000 0.000 0.000
2 Tb 0.000 0.000 0.343
3 Tb 0.000 0.000 0.657
4 Tl 0.500 0.500 0.172
5 Tl 0.500 0.500 0.828
6 Hg 0.500 0.500 0.500


# Tb4TlHg5
Simulated powder XRD pattern, copper Kα. Input: a structure optimized by DFT (PBE).
Neutral-atom scattering factors, no anomalous dispersion.

Peak list (10 most intense, 10 to 90 degrees two-theta, by angle)
2θ = 33.42°, rel. 53; 2θ = 34.16°, rel. 100; 2θ = 47.99°, rel. 20; 2θ = 50.17°, rel. 8; 2θ = 60.21°, rel. 40; 2θ = 61.63°, rel. 18; 2θ = 71.95°, rel. 12; 2θ = 80.02°, rel. 9; 2θ = 80.44°, rel. 9; 2θ = 83.77°, rel. 8

Unit cell a=3.792 b=3.792 c=18.185 alpha=90.00 beta=90.00 gamma=90.00
Atoms (fractional coordinates):
1 Tb 0.000 0.000 0.101
2 Tb 0.000 0.000 0.304
3 Tb 0.000 0.000 0.696
4 Tb 0.000 0.000 0.899
5 Tl 0.000 0.000 0.500
6 Hg 0.500 0.500 0.000
7 Hg 0.500 0.500 0.199
8 Hg 0.500 0.500 0.396
9 Hg 0.500 0.500 0.604
10 Hg 0.500 0.500 0.801


# Tb4Tl3Hg2
Simulated powder XRD pattern, copper Kα. Input: a structure optimized by DFT (PBE).
Neutral-atom scattering factors, no anomalous dispersion.

Peak list (10 most intense, 10 to 90 degrees two-theta, by angle)
2θ = 32.27°, rel. 100; 2θ = 34.65°, rel. 86; 2θ = 48.08°, rel. 33; 2θ = 55.98°, rel. 19; 2θ = 60.61°, rel. 34; 2θ = 62.10°, rel. 16; 2θ = 67.54°, rel. 11; 2θ = 73.11°, rel. 10; 2θ = 78.19°, rel. 15; 2θ = 82.18°, rel. 14

Unit cell a=5.178 b=5.178 c=10.592 alpha=90.00 beta=90.00 gamma=120.00
Atoms (fractional coordinates):
1 Tb 0.000 0.000 0.171
2 Tb 0.000 0.000 0.829
3 Tb 0.333 0.667 0.613
4 Tb 0.667 0.333 0.387
5 Tl 0.000 0.000 0.500
6 Tl 0.333 0.667 0.942
7 Tl 0.667 0.333 0.058
8 Hg 0.333 0.667 0.299
9 Hg 0.667 0.333 0.701


# TbTlHg4
Simulated powder XRD pattern, copper Kα. Input: a structure optimized by DFT (PBE).
Neutral-atom scattering factors, no anomalous dispersion.

Peak list (10 most intense, 10 to 90 degrees two-theta, by angle)
2θ = 33.51°, rel. 25; 2θ = 33.72°, rel. 63; 2θ = 33.83°, rel. 50; 2θ = 34.74°, rel. 100; 2θ = 35.19°, rel. 49; 2θ = 49.39°, rel. 17; 2θ = 61.94°, rel. 18; 2θ = 62.25°, rel. 16; 2θ = 62.86°, rel. 18; 2θ = 67.39°, rel. 28

Unit cell a=6.624 b=5.100 c=9.554 alpha=90.00 beta=109.92 gamma=90.00
Atoms (fractional coordinates):
1 Tb 0.125 0.250 0.252
2 Tb 0.875 0.750 0.748
3 Tl 0.384 0.750 0.766
4 Tl 0.616 0.250 0.234
5 Hg 0.025 0.250 0.580
6 Hg 0.190 0.250 0.913
7 Hg 0.274 0.750 0.086
8 Hg 0.456 0.750 0.419
9 Hg 0.544 0.250 0.581
10 Hg 0.726 0.250 0.914
11 Hg 0.810 0.750 0.087
12 Hg 0.975 0.750 0.420


# Tb12Tl2Hg5
Simulated powder XRD pattern, copper Kα. Input: a structure optimized by DFT (PBE).
Neutral-atom scattering factors, no anomalous dispersion.

Peak list (10 most intense, 10 to 90 degrees two-theta, by angle)
2θ = 21.95°, rel. 37; 2θ = 30.00°, rel. 40; 2θ = 31.25°, rel. 100; 2θ = 33.15°, rel. 33; 2θ = 33.57°, rel. 37; 2θ = 34.67°, rel. 64; 2θ = 36.24°, rel. 39; 2θ = 37.50°, rel. 54; 2θ = 48.14°, rel. 35; 2θ = 55.77°, rel. 33

Unit cell a=8.902 b=8.902 c=9.751 alpha=96.28 beta=96.28 gamma=50.26
Atoms (fractional coordinates):
1 Tb 0.017 0.017 0.293
2 Tb 0.068 0.557 0.862
3 Tb 0.096 0.621 0.447
4 Tb 0.379 0.904 0.553
5 Tb 0.422 0.422 0.184
6 Tb 0.443 0.932 0.138
7 Tb 0.557 0.068 0.862
8 Tb 0.578 0.578 0.816
9 Tb 0.621 0.096 0.447
10 Tb 0.904 0.379 0.553
11 Tb 0.932 0.443 0.138
12 Tb 0.983 0.983 0.707
13 Tl 0.216 0.784 0.000
14 Tl 0.784 0.216 0.000
15 Hg 0.160 0.160 0.866
16 Hg 0.225 0.225 0.364
17 Hg 0.500 0.500 0.500
18 Hg 0.775 0.775 0.636
19 Hg 0.840 0.840 0.134


# Tb6TlHg8
Simulated powder XRD pattern, copper Kα. Input: a structure optimized by DFT (PBE).
Neutral-atom scattering factors, no anomalous dispersion.

Peak list (10 most intense, 10 to 90 degrees two-theta, by angle)
2θ = 24.70°, rel. 22; 2θ = 28.61°, rel. 7; 2θ = 31.32°, rel. 8; 2θ = 32.42°, rel. 10; 2θ = 35.22°, rel. 100; 2θ = 36.54°, rel. 10; 2θ = 50.66°, rel. 11; 2θ = 57.15°, rel. 6; 2θ = 63.21°, rel. 20; 2θ = 66.64°, rel. 7

Unit cell a=8.057 b=8.057 c=8.057 alpha=66.45 beta=66.45 gamma=66.45
Atoms (fractional coordinates):
1 Tb 0.111 0.379 0.815
2 Tb 0.185 0.889 0.621
3 Tb 0.379 0.815 0.111
4 Tb 0.621 0.185 0.889
5 Tb 0.815 0.111 0.379
6 Tb 0.889 0.621 0.185
7 Tl 0.500 0.500 0.500
8 Hg 0.052 0.684 0.435
9 Hg 0.200 0.200 0.200
10 Hg 0.316 0.565 0.948
11 Hg 0.435 0.052 0.684
12 Hg 0.565 0.948 0.316
13 Hg 0.684 0.435 0.052
14 Hg 0.800 0.800 0.800
15 Hg 0.948 0.316 0.565


# TbTm2Hg5
Simulated powder XRD pattern, copper Kα. Input: a structure optimized by DFT (PBE).
Neutral-atom scattering factors, no anomalous dispersion.

Peak list (10 most intense, 10 to 90 degrees two-theta, by angle)
2θ = 34.65°, rel. 52; 2θ = 34.82°, rel. 100; 2θ = 49.82°, rel. 19; 2θ = 50.32°, rel. 8; 2θ = 62.22°, rel. 38; 2θ = 62.55°, rel. 18; 2θ = 73.12°, rel. 6; 2θ = 73.53°, rel. 11; 2θ = 83.56°, rel. 17; 2θ = 84.39°, rel. 7

Unit cell a=8.124 b=8.124 c=8.124 alpha=142.84 beta=142.84 gamma=53.56
Atoms (fractional coordinates):
1 Tb 0.000 0.000 0.000
2 Tm 0.264 0.264 0.000
3 Tm 0.736 0.736 0.000
4 Hg 0.127 0.627 0.500
5 Hg 0.373 0.873 0.500
6 Hg 0.500 0.500 0.000
7 Hg 0.627 0.127 0.500
8 Hg 0.873 0.373 0.500


# TbTmHg6
Simulated powder XRD pattern, copper Kα. Input: a structure optimized by DFT (PBE).
Neutral-atom scattering factors, no anomalous dispersion.

Peak list (10 most intense, 10 to 90 degrees two-theta, by angle)
2θ = 30.95°, rel. 17; 2θ = 31.46°, rel. 10; 2θ = 35.89°, rel. 100; 2θ = 36.34°, rel. 33; 2θ = 48.10°, rel. 10; 2θ = 55.69°, rel. 14; 2θ = 64.50°, rel. 17; 2θ = 67.19°, rel. 8; 2θ = 67.47°, rel. 11; 2θ = 68.05°, rel. 15

Unit cell a=5.004 b=6.603 c=6.603 alpha=61.08 beta=90.00 gamma=90.00
Atoms (fractional coordinates):
1 Tb 0.000 0.000 0.000
2 Tm 0.500 0.682 0.682
3 Hg 0.000 0.009 0.500
4 Hg 0.000 0.500 0.009
5 Hg 0.000 0.512 0.512
6 Hg 0.500 0.172 0.172
7 Hg 0.500 0.183 0.668
8 Hg 0.500 0.668 0.183


# Tb3TmHg7
Simulated powder XRD pattern, copper Kα. Input: a structure optimized by DFT (PBE).
Neutral-atom scattering factors, no anomalous dispersion.

Peak list (10 most intense, 10 to 90 degrees two-theta, by angle)
2θ = 13.36°, rel. 28; 2θ = 31.89°, rel. 38; 2θ = 32.71°, rel. 100; 2θ = 35.89°, rel. 100; 2θ = 36.61°, rel. 92; 2θ = 37.85°, rel. 34; 2θ = 50.41°, rel. 25; 2θ = 63.42°, rel. 38; 2θ = 63.88°, rel. 20; 2θ = 66.51°, rel. 23

Unit cell a=15.659 b=15.659 c=12.669 alpha=90.00 beta=90.00 gamma=166.72
Atoms (fractional coordinates):
1 Tb 0.069 0.931 0.547
2 Tb 0.069 0.931 0.953
3 Tb 0.189 0.811 0.250
4 Tb 0.811 0.189 0.750
5 Tb 0.931 0.069 0.047
6 Tb 0.931 0.069 0.453
7 Tm 0.070 0.930 0.250
8 Tm 0.930 0.070 0.750
9 Hg 0.270 0.730 0.577
10 Hg 0.270 0.730 0.923
11 Hg 0.373 0.627 0.603
12 Hg 0.373 0.627 0.897
13 Hg 0.421 0.579 0.250
14 Hg 0.489 0.511 0.618
15 Hg 0.489 0.511 0.882
16 Hg 0.511 0.489 0.118
17 Hg 0.511 0.489 0.382
18 Hg 0.579 0.421 0.750
19 Hg 0.627 0.373 0.103
20 Hg 0.627 0.373 0.397
21 Hg 0.730 0.270 0.077
22 Hg 0.730 0.270 0.423


# TbTm6Hg2
Simulated powder XRD pattern, copper Kα. Input: a structure optimized by DFT (PBE).
Neutral-atom scattering factors, no anomalous dispersion.

Peak list (10 most intense, 10 to 90 degrees two-theta, by angle)
2θ = 32.17°, rel. 50; 2θ = 32.54°, rel. 49; 2θ = 33.39°, rel. 95; 2θ = 33.51°, rel. 100; 2θ = 46.58°, rel. 17; 2θ = 49.62°, rel. 19; 2θ = 58.29°, rel. 16; 2θ = 60.37°, rel. 17; 2θ = 60.61°, rel. 18; 2θ = 82.53°, rel. 15

Unit cell a=6.491 b=6.491 c=11.699 alpha=108.09 beta=108.09 gamma=32.88
Atoms (fractional coordinates):
1 Tb 0.000 0.000 0.000
2 Tm 0.014 0.014 0.339
3 Tm 0.312 0.312 0.124
4 Tm 0.313 0.313 0.417
5 Tm 0.687 0.687 0.583
6 Tm 0.688 0.688 0.876
7 Tm 0.986 0.986 0.661
8 Hg 0.353 0.353 0.789
9 Hg 0.647 0.647 0.211